1.
Calculated X-ray powder pattern
Compound: In5Cl9
Radiation: Cu Kα X-rays
Structure: a DFT-relaxed cell (PBE, Alexandria)

Largest 8 diffraction maxima, sorted by position, 10° ≤ 2θ ≤ 80°:
two_theta, d [Å], I/Imax
12.54, 7.059, 33
20.14, 4.410, 42
24.41, 3.647, 67
28.98, 3.081, 33
31.84, 2.810, 100
32.34, 2.768, 33
40.93, 2.205, 59
50.03, 1.823, 28

Atomic structure:
```
28
Lattice="6.316 3.647 6.160 -6.316 3.647 6.160 0.000 -7.293 6.160" Properties=species:S:1:pos:R:3 pbc="T T T"
In -4.410 -0.345 7.700
In 0.000 0.000 2.763
In -1.906 -3.991 10.780
In 0.000 0.000 6.477
In 2.503 -3.647 7.700
In -2.503 3.647 10.780
In 0.000 0.000 12.004
In 1.906 3.991 7.700
In 0.000 0.000 15.717
In 4.410 0.345 10.780
Cl -5.332 -1.659 10.600
Cl -1.229 -5.447 7.881
Cl -1.955 0.000 4.620
Cl -1.229 -1.846 7.520
Cl 0.978 -1.693 4.620
Cl -4.103 3.788 7.881
Cl 0.978 1.693 4.620
Cl -0.984 1.987 7.520
Cl -2.213 0.141 10.961
Cl 2.213 -0.141 7.520
Cl 0.984 -1.987 10.961
Cl -0.978 -1.693 13.861
Cl 4.103 -3.788 10.600
Cl -0.978 1.693 13.861
Cl 1.229 1.846 10.961
Cl 1.955 0.000 13.861
Cl 1.229 5.447 10.600
Cl 5.332 1.659 7.881
```

2.
Calculated X-ray powder pattern
Compound: Lu2MgSe4
Radiation: Cu Kα X-rays
Structure: a DFT-relaxed cell (PBE, Alexandria)

Largest 8 diffraction maxima, sorted by position, 10° ≤ 2θ ≤ 80°:
two_theta, d [Å], I/Imax
18.74, 4.735, 95
25.39, 3.508, 49
28.73, 3.107, 46
37.12, 2.422, 100
38.01, 2.367, 44
46.27, 1.962, 51
48.19, 1.888, 22
59.50, 1.554, 19

Atomic structure:
```
14
Lattice="-4.735 4.735 4.118 4.735 -4.735 4.118 4.735 4.735 -4.118" Properties=species:S:1:pos:R:3 pbc="T T T"
Lu 7.102 2.197 -1.030
Lu 2.197 2.367 1.030
Lu -2.367 2.538 3.089
Lu 2.538 2.367 5.148
Mg 4.735 0.000 2.059
Mg 0.000 0.000 4.118
Se 2.308 -0.457 1.147
Se 5.192 -2.427 2.971
Se 4.277 2.308 -0.912
Se 7.161 0.457 1.147
Se 2.427 -0.457 5.030
Se 4.277 2.427 2.971
Se 0.457 2.427 3.207
Se 2.308 5.192 0.912
```